Calculated PXRD pattern of CsRbTlAs for Cu Kα (λ = 1.5418 Å), from DFT lattice parameters and positions (GGA-PBE).

Structural model:
```
data_CsRbTlAs
_chemical_formula_sum 'Cs2 Rb2 Tl2 As2'
_cell_length_a 15.2156
_cell_length_b 4.3880
_cell_length_c 6.1931
_cell_angle_alpha 90.00
_cell_angle_beta 113.95
_cell_angle_gamma 90.00
_symmetry_space_group_name_H-M 'C 1 m 1'
_symmetry_Int_Tables_number 8
loop_
_symmetry_equiv_pos_as_xyz
'x,y,z'
'x,-y,z'
'x+1/2,y+1/2,z'
'x+1/2,-y+1/2,z'
loop_
_atom_site_label
_atom_site_type_symbol
_atom_site_fract_x
_atom_site_fract_y
_atom_site_fract_z
Cs1 Cs 0.0000 0.0000 0.0000
Rb1 Rb 0.1741 0.5000 0.6741
Tl1 Tl 0.3055 0.5000 0.3051
As1 As 0.4310 0.0000 0.4315
```

Most intense lines, 10° ≤ 2θ ≤ 80°, by intensity:
2theta  intensity  hkl
28.03  100  1 1 1
23.98  86  4 0 -1
36.03  84  3 1 1
21.23  51  1 1 0
28.83  49  2 0 -2
15.66  38  2 0 -1
48.22  26  6 0 -3
48.14  23  2 2 1
48.65  23  7 1 -2
38.32  23  5 1 0